Entry 1:
For Cs2Ag2WS4, a PBE-relaxed structure gives the computed powder X-ray diffraction pattern in this record (Cu Kα X-rays).
Lines closer than 0.1° are merged.

Atomic structure:
abc: 6.098 6.098 14.034
angles: 90.00 90.00 90.00
Element x y z (fractional)
Cs1 0.234 0.234 0.000
Cs2 0.234 0.766 0.500
Cs3 0.766 0.234 0.500
Cs4 0.766 0.766 0.000
Ag1 0.000 0.500 0.250
Ag2 0.000 0.500 0.750
Ag3 0.500 0.000 0.250
Ag4 0.500 0.000 0.750
W1 0.500 0.500 0.250
W2 0.500 0.500 0.750
S1 0.288 0.288 0.353
S2 0.288 0.288 0.647
S3 0.288 0.712 0.147
S4 0.288 0.712 0.853
S5 0.712 0.288 0.147
S6 0.712 0.288 0.853
S7 0.712 0.712 0.353
S8 0.712 0.712 0.647

Largest 8 diffraction maxima, by angle, 2θ from 10° to 80°:
2θ (°)  d (Å)  I/Imax
14.53  6.098  30
19.28  4.603  41
25.39  3.508  35
28.15  3.170  51
32.01  2.796  100
41.92  2.155  47
49.09  1.856  41
49.63  1.837  24

Entry 2:
For CsZrAg3S4, a PBE-relaxed structure gives the computed powder X-ray diffraction pattern in this record (Cu Kα X-rays).
Lines closer than 0.1° are merged.

Atomic structure:
abc: 6.241 7.912 10.553
angles: 90.00 106.86 90.00
Element x y z (fractional)
Cs1 0.208 0.250 0.371
Cs2 0.792 0.750 0.629
Zr1 0.139 0.250 0.795
Zr2 0.861 0.750 0.205
Ag1 0.284 0.543 0.016
Ag2 0.284 0.957 0.016
Ag3 0.401 0.750 0.256
Ag4 0.599 0.250 0.744
Ag5 0.716 0.043 0.984
Ag6 0.716 0.457 0.984
S1 0.053 0.250 0.011
S2 0.168 0.750 0.405
S3 0.359 0.502 0.780
S4 0.359 0.998 0.780
S5 0.641 0.002 0.220
S6 0.641 0.498 0.220
S7 0.832 0.250 0.595
S8 0.947 0.750 0.989

Largest 8 diffraction maxima, by angle, 2θ from 10° to 80°:
2θ (°)  d (Å)  I/Imax
14.22  6.228  81
24.16  3.684  95
27.05  3.296  60
28.65  3.116  90
32.08  2.790  100
40.86  2.208  73
41.02  2.200  59
45.90  1.977  99

Entry 3:
For CsZrAg3S4, a PBE-relaxed structure gives the computed powder X-ray diffraction pattern in this record (Cu Kα X-rays).
Lines closer than 0.1° are merged.

Atomic structure:
abc: 6.469 6.469 6.469
angles: 90.00 90.00 90.00
Element x y z (fractional)
Cs1 0.000 0.000 0.000
Zr1 0.500 0.500 0.500
Ag1 0.000 0.500 0.500
Ag2 0.500 0.000 0.500
Ag3 0.500 0.500 0.000
S1 0.285 0.285 0.285
S2 0.285 0.715 0.715
S3 0.715 0.285 0.715
S4 0.715 0.715 0.285

Largest 8 diffraction maxima, by angle, 2θ from 10° to 80°:
2θ (°)  d (Å)  I/Imax
13.69  6.469  18
19.41  4.574  20
23.82  3.735  89
27.58  3.234  57
39.40  2.287  100
46.56  1.950  42
64.41  1.446  24
71.44  1.320  29

Entry 4:
For Cs2ZrAg2S4, a PBE-relaxed structure gives the computed powder X-ray diffraction pattern in this record (Cu Kα X-rays).
Lines closer than 0.1° are merged.

Atomic structure:
abc: 7.753 7.753 6.177
angles: 90.00 90.00 132.98
Element x y z (fractional)
Cs1 0.000 0.500 0.238
Cs2 0.500 0.000 0.762
Zr1 0.000 0.000 0.500
Ag1 0.000 0.000 0.000
Ag2 0.500 0.500 0.500
S1 0.126 0.327 0.726
S2 0.327 0.126 0.274
S3 0.673 0.874 0.274
S4 0.874 0.673 0.726

Largest 8 diffraction maxima, by angle, 2θ from 10° to 80°:
2θ (°)  d (Å)  I/Imax
21.27  4.178  45
25.05  3.555  34
27.76  3.213  81
31.56  2.835  100
41.31  2.185  42
48.40  1.881  46
48.92  1.862  23
50.50  1.807  27

Entry 5:
For CsAg5Se3, a PBE-relaxed structure gives the computed powder X-ray diffraction pattern in this record (Cu Kα X-rays).
Lines closer than 0.1° are merged.

Atomic structure:
abc: 14.131 14.131 4.418
angles: 90.00 90.00 90.00
Element x y z (fractional)
Cs1 0.115 0.115 0.000
Cs2 0.385 0.615 0.500
Cs3 0.615 0.385 0.500
Cs4 0.885 0.885 0.000
Ag1 0.015 0.391 0.000
Ag2 0.080 0.718 0.500
Ag3 0.109 0.515 0.500
Ag4 0.174 0.826 0.000
Ag5 0.218 0.420 0.000
Ag6 0.282 0.920 0.500
Ag7 0.326 0.326 0.500
Ag8 0.391 0.015 0.000
Ag9 0.420 0.218 0.000
Ag10 0.485 0.891 0.500
Ag11 0.515 0.109 0.500
Ag12 0.580 0.782 0.000
Ag13 0.609 0.985 0.000
Ag14 0.674 0.674 0.500
Ag15 0.718 0.080 0.500
Ag16 0.782 0.580 0.000
Ag17 0.826 0.174 0.000
Ag18 0.891 0.485 0.500
Ag19 0.920 0.282 0.500
Ag20 0.985 0.609 0.000
Se1 0.097 0.903 0.500
Se2 0.118 0.327 0.500
Se3 0.173 0.618 0.000
Se4 0.327 0.118 0.500
Se5 0.382 0.827 0.000
Se6 0.403 0.403 0.000
Se7 0.597 0.597 0.000
Se8 0.618 0.173 0.000
Se9 0.673 0.882 0.500
Se10 0.827 0.382 0.000
Se11 0.882 0.673 0.500
Se12 0.903 0.097 0.500

Largest 8 diffraction maxima, by angle, 2θ from 10° to 80°:
2θ (°)  d (Å)  I/Imax
25.21  3.533  38
28.41  3.142  39
33.08  2.708  99
37.79  2.381  100
38.34  2.348  33
40.86  2.208  70
45.38  1.998  39
45.49  1.994  45

Entry 6:
For CsAg3SnSe4, a PBE-relaxed structure gives the computed powder X-ray diffraction pattern in this record (Cu Kα X-rays).
Lines closer than 0.1° are merged.

Atomic structure:
abc: 6.463 7.972 10.761
angles: 90.00 105.67 90.00
Element x y z (fractional)
Cs1 0.208 0.250 0.367
Cs2 0.792 0.750 0.633
Ag1 0.304 0.558 0.030
Ag2 0.304 0.942 0.030
Ag3 0.418 0.750 0.274
Ag4 0.582 0.250 0.726
Ag5 0.696 0.058 0.970
Ag6 0.696 0.442 0.970
Sn1 0.122 0.250 0.772
Sn2 0.878 0.750 0.228
Se1 0.048 0.250 0.998
Se2 0.184 0.750 0.432
Se3 0.350 0.520 0.776
Se4 0.350 0.980 0.776
Se5 0.650 0.020 0.224
Se6 0.650 0.480 0.224
Se7 0.816 0.250 0.568
Se8 0.952 0.750 0.002

Largest 8 diffraction maxima, by angle, 2θ from 10° to 80°:
2θ (°)  d (Å)  I/Imax
14.02  6.318  100
23.92  3.720  80
25.90  3.440  70
26.70  3.339  80
30.85  2.898  65
39.52  2.280  99
40.31  2.237  91
45.20  2.006  99

Entry 7:
For CsAgSnTe2Se, a PBE-relaxed structure gives the computed powder X-ray diffraction pattern in this record (Cu Kα X-rays).
Lines closer than 0.1° are merged.

Atomic structure:
abc: 8.677 8.677 11.562
angles: 90.00 90.00 151.94
Element x y z (fractional)
Cs1 0.236 0.764 0.750
Cs2 0.764 0.236 0.250
Ag1 0.053 0.947 0.250
Ag2 0.947 0.053 0.750
Sn1 0.500 0.500 0.000
Sn2 0.500 0.500 0.500
Te1 0.125 0.875 0.034
Te2 0.125 0.875 0.466
Te3 0.875 0.125 0.534
Te4 0.875 0.125 0.966
Se1 0.454 0.546 0.250
Se2 0.546 0.454 0.750

Largest 8 diffraction maxima, by angle, 2θ from 10° to 80°:
2θ (°)  d (Å)  I/Imax
10.51  8.419  50
26.19  3.403  46
26.48  3.366  57
27.60  3.232  100
30.74  2.909  49
30.94  2.891  68
37.59  2.393  43
43.00  2.104  43

Entry 8:
For CsTaAg2Se4, a PBE-relaxed structure gives the computed powder X-ray diffraction pattern in this record (Cu Kα X-rays).
Lines closer than 0.1° are merged.

Atomic structure:
abc: 8.252 10.452 10.452
angles: 145.58 90.00 90.00
Element x y z (fractional)
Cs1 0.250 0.181 0.819
Cs2 0.750 0.819 0.181
Ta1 0.250 0.124 0.350
Ta2 0.750 0.350 0.124
Ag1 0.000 0.276 0.276
Ag2 0.250 0.621 0.853
Ag3 0.500 0.276 0.276
Ag4 0.750 0.853 0.621
Se1 0.004 0.342 0.580
Se2 0.250 0.807 0.235
Se3 0.250 0.992 0.016
Se4 0.496 0.342 0.580
Se5 0.504 0.580 0.342
Se6 0.750 0.016 0.992
Se7 0.750 0.235 0.807
Se8 0.996 0.580 0.342

Largest 8 diffraction maxima, by angle, 2θ from 10° to 80°:
2θ (°)  d (Å)  I/Imax
13.92  6.361  100
14.99  5.908  57
26.35  3.383  71
26.57  3.355  50
32.18  2.781  54
40.69  2.217  97
43.88  2.063  36
52.04  1.757  32

Entry 9:
For CsTcAgTe2Se, a PBE-relaxed structure gives the computed powder X-ray diffraction pattern in this record (Cu Kα X-rays).
Lines closer than 0.1° are merged.

Atomic structure:
abc: 9.278 4.012 10.810
angles: 90.00 113.55 90.00
Element x y z (fractional)
Cs1 0.244 0.250 0.227
Cs2 0.756 0.750 0.773
Tc1 0.162 0.750 0.637
Tc2 0.838 0.250 0.363
Ag1 0.442 0.250 0.897
Ag2 0.558 0.750 0.103
Te1 0.229 0.750 0.912
Te2 0.363 0.250 0.621
Te3 0.637 0.750 0.379
Te4 0.771 0.250 0.088
Se1 0.027 0.750 0.378
Se2 0.973 0.250 0.622

Largest 8 diffraction maxima, by angle, 2θ from 10° to 80°:
2θ (°)  d (Å)  I/Imax
10.66  8.297  100
24.68  3.607  67
29.44  3.034  87
30.63  2.918  57
32.77  2.733  48
40.80  2.211  38
45.20  2.006  40
48.51  1.877  39

Entry 10:
For Cs2ZrAg2Te2Se2, a PBE-relaxed structure gives the computed powder X-ray diffraction pattern in this record (Cu Kα X-rays).
Lines closer than 0.1° are merged.

Atomic structure:
abc: 8.129 8.129 6.477
angles: 90.56 90.56 132.98
Element x y z (fractional)
Cs1 0.245 0.245 0.238
Cs2 0.755 0.755 0.762
Zr1 0.263 0.737 0.500
Ag1 0.261 0.739 0.000
Ag2 0.763 0.237 0.500
Te1 0.402 0.097 0.748
Te2 0.903 0.598 0.252
Se1 0.139 0.412 0.724
Se2 0.588 0.861 0.276

Largest 8 diffraction maxima, by angle, 2θ from 10° to 80°:
2θ (°)  d (Å)  I/Imax
26.28  3.391  100
26.64  3.346  85
30.08  2.971  75
36.76  2.445  35
38.83  2.319  37
39.83  2.263  35
46.04  1.971  70
48.35  1.882  36

Entry 11:
For CsZrAgTe2Se, a PBE-relaxed structure gives the computed powder X-ray diffraction pattern in this record (Cu Kα X-rays).
Lines closer than 0.1° are merged.

Atomic structure:
abc: 8.748 8.748 10.783
angles: 90.00 90.00 152.07
Element x y z (fractional)
Cs1 0.244 0.756 0.750
Cs2 0.756 0.244 0.250
Zr1 0.500 0.500 0.000
Zr2 0.500 0.500 0.500
Ag1 0.035 0.965 0.250
Ag2 0.965 0.035 0.750
Te1 0.120 0.880 0.035
Te2 0.120 0.880 0.465
Te3 0.880 0.120 0.535
Te4 0.880 0.120 0.965
Se1 0.442 0.558 0.250
Se2 0.558 0.442 0.750

Largest 8 diffraction maxima, by angle, 2θ from 10° to 80°:
2θ (°)  d (Å)  I/Imax
10.42  8.490  50
26.73  3.335  65
27.63  3.229  100
31.20  2.866  57
33.21  2.698  73
37.87  2.376  60
42.85  2.111  42
50.21  1.817  70

Entry 12:
For CsTb2Ag3Te5, a PBE-relaxed structure gives the computed powder X-ray diffraction pattern in this record (Cu Kα X-rays).
Lines closer than 0.1° are merged.

Atomic structure:
abc: 8.518 8.518 18.603
angles: 90.00 90.00 148.87
Element x y z (fractional)
Cs1 0.058 0.942 0.750
Cs2 0.942 0.058 0.250
Tb1 0.191 0.809 0.094
Tb2 0.191 0.809 0.406
Tb3 0.809 0.191 0.594
Tb4 0.809 0.191 0.906
Ag1 0.341 0.659 0.750
Ag2 0.416 0.584 0.034
Ag3 0.416 0.584 0.466
Ag4 0.584 0.416 0.534
Ag5 0.584 0.416 0.966
Ag6 0.659 0.341 0.250
Te1 0.178 0.822 0.573
Te2 0.178 0.822 0.927
Te3 0.256 0.744 0.250
Te4 0.436 0.564 0.619
Te5 0.436 0.564 0.881
Te6 0.564 0.436 0.119
Te7 0.564 0.436 0.381
Te8 0.744 0.256 0.750
Te9 0.822 0.178 0.073
Te10 0.822 0.178 0.427

Largest 8 diffraction maxima, by angle, 2θ from 10° to 80°:
2θ (°)  d (Å)  I/Imax
25.85  3.447  100
27.17  3.282  99
28.79  3.100  84
31.96  2.801  94
33.61  2.666  72
35.01  2.563  66
39.42  2.286  91
42.68  2.118  93